# 1
Sc6As7: computed PXRD pattern (Cu Ka), based on a structure optimized by DFT (GGA-PBE).

Top 10 peaks for 2θ = 15–90°, by angle:
two_theta, Rel. int., h k l
15.84, 42, 0 0 6
18.96, 36, 1 0 1
23.86, 41, 0 0 9
36.64, 74, 1 1 6
38.18, 49, 0 2 1
38.47, 31, 2 0 2
39.78, 48, 1 0 13
42.65, 100, 0 2 7
43.97, 52, 2 0 8
68.81, 31, 2 2 0

Structural model:
a b c (Å): 5.4578 5.4578 33.5673
angles (deg): 90.00 90.00 120.00
Space group R-3m (No. 166, hexagonal axes)
Symmetry-distinct sites (fractional):
Sc: 0.0000 0.0000 0.0457 [6 per cell]
Sc: 0.0000 0.0000 0.1949 [6 per cell]
Sc: 0.0000 0.0000 0.3349 [6 per cell]
As: 0.0000 0.0000 0.5000 [3 per cell]
As: 0.0017 0.5009 0.9285 [18 per cell]

---

# 2
Sc4As3: computed PXRD pattern (Cu Ka), based on a structure optimized by DFT (GGA-PBE).

Top 10 peaks for 2θ = 15–90°, by angle:
two_theta, Rel. int., h k l
29.43, 14, 0 1 5
33.60, 100, 0 1 8
43.07, 12, 1 0 13
46.68, 40, 1 1 0
49.79, 26, 1 0 16
58.73, 18, 2 0 8
70.63, 9, 0 2 16
78.16, 15, 1 2 8
82.87, 8, 1 1 24
88.98, 9, 2 1 16

Structural model:
a b c (Å): 3.8918 3.8918 34.9032
angles (deg): 90.00 90.00 120.00
Space group R-3m (No. 166, hexagonal axes)
Symmetry-distinct sites (fractional):
Sc: 0.0000 0.0000 0.1232 [6 per cell]
Sc: 0.0000 0.0000 0.3700 [6 per cell]
As: 0.0000 0.0000 0.2566 [6 per cell]
As: 0.0000 0.0000 0.5000 [3 per cell]